(1)
Starting from DFT lattice parameters and positions (PBE), the powder X-ray diffraction pattern of LiTl3I4 was computed for λ = 1.5418 Å (Cu Kα).
Neutral-atom scattering factors, no anomalous dispersion.

Structural model:
```
data_LiTl3I4
_chemical_formula_sum 'Li2 Tl6 I8'
_cell_length_a 9.9518
_cell_length_b 10.5400
_cell_length_c 6.9802
_cell_angle_alpha 90.00
_cell_angle_beta 90.00
_cell_angle_gamma 90.00
_space_group_name_H-M_alt 'P 1'
_space_group_IT_number 1
loop_
_space_group_symop_operation_xyz
'x,y,z'
loop_
_atom_site_label
_atom_site_fract_x
_atom_site_fract_y
_atom_site_fract_z
Li1 0.0000 0.2048 0.0000
Li2 0.5000 0.7952 0.5000
Tl1 0.0000 0.8989 0.4272
Tl2 0.1979 0.6556 0.9238
Tl3 0.3021 0.3444 0.4238
Tl4 0.5000 0.1011 0.9272
Tl5 0.6979 0.3444 0.4238
Tl6 0.8021 0.6556 0.9238
I1 0.0000 0.2263 0.4043
I2 0.0000 0.9417 0.9270
I3 0.2463 0.3264 0.9191
I4 0.2537 0.6736 0.4191
I5 0.5000 0.0583 0.4270
I6 0.5000 0.7737 0.9043
I7 0.7463 0.6736 0.4191
I8 0.7537 0.3264 0.9191
```

Peak list (10 most intense, 2θ from 15° to 90°, in order of rising 2θ)
2θ 19.73, intensity 100.0; 2θ 25.35, intensity 25.7; 2θ 25.52, intensity 93.1; 2θ 26.91, intensity 26.9; 2θ 29.83, intensity 49.6; 2θ 31.16, intensity 36.1; 2θ 31.88, intensity 24.3; 2θ 32.47, intensity 57.6; 2θ 40.70, intensity 36.4; 2θ 41.27, intensity 24.5

(2)
Starting from DFT lattice parameters and positions (PBE), the powder X-ray diffraction pattern of LiTl4I5 was computed for λ = 1.5418 Å (Cu Kα).
Neutral-atom scattering factors, no anomalous dispersion.

Structural model:
```
data_LiTl4I5
_chemical_formula_sum 'Li1 Tl4 I5'
_cell_length_a 20.6933
_cell_length_b 20.6933
_cell_length_c 20.6933
_cell_angle_alpha 13.32
_cell_angle_beta 13.32
_cell_angle_gamma 13.32
_space_group_name_H-M_alt 'P 1'
_space_group_IT_number 1
loop_
_space_group_symop_operation_xyz
'x,y,z'
loop_
_atom_site_label
_atom_site_fract_x
_atom_site_fract_y
_atom_site_fract_z
Li1 0.0000 0.0000 0.0000
Tl1 0.2018 0.2018 0.2018
Tl2 0.3945 0.3945 0.3945
Tl3 0.6055 0.6055 0.6055
Tl4 0.7982 0.7982 0.7982
I1 0.0964 0.0964 0.0964
I2 0.3079 0.3079 0.3079
I3 0.5000 0.5000 0.5000
I4 0.6921 0.6921 0.6921
I5 0.9036 0.9036 0.9036
```

Peak list (10 most intense, 2θ from 15° to 90°, in order of rising 2θ)
2θ 23.67, intensity 10.8; 2θ 25.87, intensity 100.0; 2θ 32.81, intensity 15.3; 2θ 36.33, intensity 31.2; 2θ 37.47, intensity 41.4; 2θ 46.09, intensity 21.1; 2θ 53.18, intensity 10.5; 2θ 55.62, intensity 13.7; 2θ 60.84, intensity 18.5; 2θ 66.86, intensity 10.6

(3)
Starting from DFT lattice parameters and positions (PBE), the powder X-ray diffraction pattern of LiTl3I4 was computed for λ = 1.5418 Å (Cu Kα).
Neutral-atom scattering factors, no anomalous dispersion.

Structural model:
```
data_LiTl3I4
_chemical_formula_sum 'Li4 Tl12 I16'
_cell_length_a 10.4086
_cell_length_b 12.5321
_cell_length_c 10.3012
_cell_angle_alpha 90.00
_cell_angle_beta 90.00
_cell_angle_gamma 90.00
_space_group_name_H-M_alt 'P 1'
_space_group_IT_number 1
loop_
_space_group_symop_operation_xyz
'x,y,z'
loop_
_atom_site_label
_atom_site_fract_x
_atom_site_fract_y
_atom_site_fract_z
Li1 0.1853 0.2500 0.0131
Li2 0.3147 0.7500 0.5131
Li3 0.6853 0.2500 0.4869
Li4 0.8147 0.7500 0.9869
Tl1 0.0595 0.2500 0.6107
Tl2 0.0913 0.5691 0.8006
Tl3 0.0913 0.9309 0.8006
Tl4 0.4087 0.0691 0.3006
Tl5 0.4087 0.4309 0.3006
Tl6 0.4405 0.7500 0.1107
Tl7 0.5595 0.2500 0.8893
Tl8 0.5913 0.5691 0.6994
Tl9 0.5913 0.9309 0.6994
Tl10 0.9087 0.0691 0.1994
Tl11 0.9087 0.4309 0.1994
Tl12 0.9405 0.7500 0.3893
I1 0.0604 0.7500 0.0754
I2 0.1611 0.2500 0.2820
I3 0.1742 0.5709 0.4629
I4 0.1742 0.9291 0.4629
I5 0.3258 0.0709 0.9629
I6 0.3258 0.4291 0.9629
I7 0.3389 0.7500 0.7820
I8 0.4396 0.2500 0.5754
I9 0.5604 0.7500 0.4246
I10 0.6611 0.2500 0.2180
I11 0.6742 0.5709 0.0371
I12 0.6742 0.9291 0.0371
I13 0.8258 0.0709 0.5371
I14 0.8258 0.4291 0.5371
I15 0.8389 0.7500 0.7180
I16 0.9396 0.2500 0.9246
```

Peak list (10 most intense, 2θ from 15° to 90°, in order of rising 2θ)
2θ 22.97, intensity 37.2; 2θ 23.89, intensity 56.5; 2θ 26.92, intensity 60.3; 2θ 27.37, intensity 100.0; 2θ 28.06, intensity 32.6; 2θ 28.25, intensity 48.1; 2θ 28.76, intensity 54.3; 2θ 30.91, intensity 38.1; 2θ 34.29, intensity 32.8; 2θ 44.79, intensity 33.6

(4)
Starting from DFT lattice parameters and positions (PBE), the powder X-ray diffraction pattern of LiUI5 was computed for λ = 1.5418 Å (Cu Kα).
Neutral-atom scattering factors, no anomalous dispersion.

Structural model:
```
data_LiUI5
_chemical_formula_sum 'Li2 U2 I10'
_cell_length_a 8.1949
_cell_length_b 8.1949
_cell_length_c 11.5827
_cell_angle_alpha 110.03
_cell_angle_beta 110.03
_cell_angle_gamma 88.20
_space_group_name_H-M_alt 'P 1'
_space_group_IT_number 1
loop_
_space_group_symop_operation_xyz
'x,y,z'
loop_
_atom_site_label
_atom_site_fract_x
_atom_site_fract_y
_atom_site_fract_z
Li1 0.1246 0.8754 0.7500
Li2 0.8754 0.1246 0.2500
U1 0.0000 0.5000 0.0000
U2 0.5000 0.0000 0.5000
I1 0.1717 0.1763 0.4708
I2 0.1763 0.1717 0.9708
I3 0.1755 0.5898 0.8394
I4 0.3213 0.6787 0.2500
I5 0.4102 0.8245 0.6606
I6 0.5898 0.1755 0.3394
I7 0.6787 0.3213 0.7500
I8 0.8245 0.4102 0.1606
I9 0.8237 0.8283 0.0292
I10 0.8283 0.8237 0.5292
```

Peak list (10 most intense, 2θ from 15° to 90°, in order of rising 2θ)
2θ 15.54, intensity 34.1; 2θ 16.76, intensity 100.0; 2θ 17.68, intensity 44.0; 2θ 24.18, intensity 35.8; 2θ 24.98, intensity 58.9; 2θ 27.81, intensity 96.8; 2θ 29.93, intensity 43.1; 2θ 33.89, intensity 28.7; 2θ 35.78, intensity 41.3; 2θ 47.79, intensity 29.7

(5)
Starting from DFT lattice parameters and positions (PBE), the powder X-ray diffraction pattern of LiUI6 was computed for λ = 1.5418 Å (Cu Kα).
Neutral-atom scattering factors, no anomalous dispersion.

Structural model:
```
data_LiUI6
_chemical_formula_sum 'Li1 U1 I6'
_cell_length_a 8.1073
_cell_length_b 8.1073
_cell_length_c 8.1073
_cell_angle_alpha 55.89
_cell_angle_beta 55.89
_cell_angle_gamma 55.89
_space_group_name_H-M_alt 'P 1'
_space_group_IT_number 1
loop_
_space_group_symop_operation_xyz
'x,y,z'
loop_
_atom_site_label
_atom_site_fract_x
_atom_site_fract_y
_atom_site_fract_z
Li1 0.0000 0.0000 0.0000
U1 0.5000 0.5000 0.5000
I1 0.1100 0.4013 0.7402
I2 0.2598 0.8900 0.5987
I3 0.4013 0.7402 0.1100
I4 0.5987 0.2598 0.8900
I5 0.7402 0.1100 0.4013
I6 0.8900 0.5987 0.2598
```

Peak list (10 most intense, 2θ from 15° to 90°, in order of rising 2θ)
2θ 16.02, intensity 30.2; 2θ 26.14, intensity 10.8; 2θ 26.87, intensity 100.0; 2θ 35.38, intensity 38.4; 2θ 41.16, intensity 30.7; 2θ 46.56, intensity 24.4; 2θ 49.83, intensity 16.2; 2θ 55.37, intensity 9.8; 2θ 66.55, intensity 12.0; 2θ 69.89, intensity 12.9

(6)
Starting from DFT lattice parameters and positions (PBE), the powder X-ray diffraction pattern of Li4ZnI6 was computed for λ = 1.5418 Å (Cu Kα).
Neutral-atom scattering factors, no anomalous dispersion.

Structural model:
```
data_Li4ZnI6
_chemical_formula_sum 'Li8 Zn2 I12'
_cell_length_a 8.2004
_cell_length_b 8.2004
_cell_length_c 14.2890
_cell_angle_alpha 106.24
_cell_angle_beta 106.24
_cell_angle_gamma 60.68
_space_group_name_H-M_alt 'P 1'
_space_group_IT_number 1
loop_
_space_group_symop_operation_xyz
'x,y,z'
loop_
_atom_site_label
_atom_site_fract_x
_atom_site_fract_y
_atom_site_fract_z
Li1 0.0564 0.2569 0.8070
Li2 0.0663 0.9337 0.5000
Li3 0.1314 0.5732 0.1549
Li4 0.2569 0.0564 0.3070
Li5 0.5473 0.7605 0.0055
Li6 0.5732 0.1314 0.6549
Li7 0.7605 0.5473 0.5055
Li8 0.9337 0.0663 0.0000
Zn1 0.1486 0.6843 0.7438
Zn2 0.6843 0.1486 0.2438
I1 0.0918 0.6136 0.5514
I2 0.2633 0.8188 0.1159
I3 0.3370 0.3588 0.8046
I4 0.3468 0.8752 0.8190
I5 0.3588 0.3370 0.3046
I6 0.4250 0.9099 0.4926
I7 0.6136 0.0918 0.0514
I8 0.8188 0.2633 0.6159
I9 0.8213 0.8968 0.8026
I10 0.8752 0.3468 0.3190
I11 0.8968 0.8213 0.3026
I12 0.9099 0.4250 0.9926
```

Peak list (10 most intense, 2θ from 15° to 90°, in order of rising 2θ)
2θ 21.50, intensity 77.1; 2θ 21.68, intensity 36.1; 2θ 25.24, intensity 100.0; 2θ 25.36, intensity 53.9; 2θ 25.47, intensity 36.9; 2θ 26.43, intensity 85.5; 2θ 40.02, intensity 35.6; 2θ 43.76, intensity 33.4; 2θ 43.85, intensity 34.9; 2θ 44.19, intensity 37.3

(7)
Starting from DFT lattice parameters and positions (PBE), the powder X-ray diffraction pattern of LiZnI3 was computed for λ = 1.5418 Å (Cu Kα).
Neutral-atom scattering factors, no anomalous dispersion.

Structural model:
```
data_LiZnI3
_chemical_formula_sum 'Li2 Zn2 I6'
_cell_length_a 7.6995
_cell_length_b 7.7031
_cell_length_c 8.3808
_cell_angle_alpha 97.54
_cell_angle_beta 92.22
_cell_angle_gamma 119.01
_space_group_name_H-M_alt 'P 1'
_space_group_IT_number 1
loop_
_space_group_symop_operation_xyz
'x,y,z'
loop_
_atom_site_label
_atom_site_fract_x
_atom_site_fract_y
_atom_site_fract_z
Li1 0.2142 0.1802 0.1245
Li2 0.7858 0.8198 0.8755
Zn1 0.1628 0.4833 0.8637
Zn2 0.8372 0.5167 0.1363
I1 0.1352 0.1263 0.7859
I2 0.2040 0.5549 0.1943
I3 0.4327 0.7608 0.7328
I4 0.5673 0.2392 0.2672
I5 0.7960 0.4451 0.8057
I6 0.8648 0.8737 0.2141
```

Peak list (10 most intense, 2θ from 15° to 90°, in order of rising 2θ)
2θ 21.54, intensity 100.0; 2θ 23.12, intensity 61.4; 2θ 23.30, intensity 82.1; 2θ 23.79, intensity 81.0; 2θ 25.91, intensity 41.2; 2θ 27.14, intensity 39.2; 2θ 29.74, intensity 27.0; 2θ 36.82, intensity 34.4; 2θ 40.36, intensity 28.0; 2θ 40.84, intensity 41.0

(8)
Starting from DFT lattice parameters and positions (PBE), the powder X-ray diffraction pattern of Li2ZnI4 was computed for λ = 1.5418 Å (Cu Kα).
Neutral-atom scattering factors, no anomalous dispersion.

Structural model:
```
data_Li2ZnI4
_chemical_formula_sum 'Li8 Zn4 I16'
_cell_length_a 14.9749
_cell_length_b 8.6581
_cell_length_c 7.0691
_cell_angle_alpha 90.00
_cell_angle_beta 90.00
_cell_angle_gamma 90.00
_space_group_name_H-M_alt 'P 1'
_space_group_IT_number 1
loop_
_space_group_symop_operation_xyz
'x,y,z'
loop_
_atom_site_label
_atom_site_fract_x
_atom_site_fract_y
_atom_site_fract_z
Li1 0.0000 0.0000 0.0000
Li2 0.0000 0.5000 0.0000
Li3 0.2378 0.2500 0.4964
Li4 0.2622 0.7500 0.9964
Li5 0.5000 0.0000 0.5000
Li6 0.5000 0.5000 0.5000
Li7 0.7378 0.2500 0.0036
Li8 0.7622 0.7500 0.5036
Zn1 0.0865 0.7500 0.5963
Zn2 0.4135 0.2500 0.0963
Zn3 0.5865 0.7500 0.9037
Zn4 0.9135 0.2500 0.4037
I1 0.0753 0.2500 0.2487
I2 0.0888 0.7500 0.2265
I3 0.1667 0.5085 0.7537
I4 0.1667 0.9915 0.7537
I5 0.3333 0.0085 0.2537
I6 0.3333 0.4915 0.2537
I7 0.4112 0.2500 0.7265
I8 0.4247 0.7500 0.7487
I9 0.5753 0.2500 0.2513
I10 0.5888 0.7500 0.2735
I11 0.6667 0.5085 0.7463
I12 0.6667 0.9915 0.7463
I13 0.8333 0.0085 0.2463
I14 0.8333 0.4915 0.2463
I15 0.9112 0.2500 0.7735
I16 0.9247 0.7500 0.7513
```

Peak list (10 most intense, 2θ from 15° to 90°, in order of rising 2θ)
2θ 23.75, intensity 33.1; 2θ 25.20, intensity 26.7; 2θ 26.93, intensity 100.0; 2θ 34.90, intensity 19.1; 2θ 41.76, intensity 32.0; 2θ 45.47, intensity 35.1; 2θ 49.40, intensity 24.2; 2θ 50.40, intensity 17.0; 2θ 67.46, intensity 13.8; 2θ 78.87, intensity 12.9